1.
ZnH6C2N4O4: theoretical XRD peak list (Cu Kα, 1.54184 Å), based on a cell relaxed with PBE.

Top 10 peaks for 10° ≤ 2θ ≤ 80°, most intense first:
Position (°2θ)  I/Imax
23.38  100.0
14.40  62.7
20.79  47.0
30.12  38.6
35.25  33.2
36.81  25.2
38.70  20.2
47.21  18.9
21.52  17.9
42.53  17.1

Cell and atoms:
Cell: 6.4808 4.9599 8.8630 Å, 90.00 108.31 90.00°
Fractional coordinates of all 34 atoms:
1 Zn 0.0000 0.2253 0.0000
2 Zn 0.0000 0.7747 0.5000
3 H 0.2251 0.1798 0.6517
4 H 0.2251 0.8202 0.1517
5 H 0.3745 0.0131 0.5551
6 H 0.3745 0.9869 0.0551
7 H 0.4976 0.0584 0.3524
8 H 0.4976 0.9416 0.8524
9 H 0.5946 0.4255 0.5995
10 H 0.5946 0.5745 0.0995
11 H 0.6683 0.4796 0.3843
12 H 0.6683 0.5204 0.8843
13 H 0.8643 0.3423 0.3184
14 H 0.8643 0.6577 0.8184
15 C 0.2989 0.3953 0.2893
16 C 0.2989 0.6047 0.7893
17 C 0.8028 0.1003 0.6775
18 C 0.8028 0.8997 0.1775
19 N 0.2733 0.0088 0.1231
20 N 0.2733 0.9912 0.6231
21 N 0.3814 0.1531 0.2614
22 N 0.3814 0.8469 0.7614
23 N 0.7069 0.3354 0.6966
24 N 0.7069 0.6646 0.1966
25 N 0.7935 0.4794 0.8390
26 N 0.7935 0.5206 0.3390
27 O 0.1351 0.4945 0.1793
28 O 0.1351 0.5055 0.6793
29 O 0.3936 0.4828 0.9187
30 O 0.3936 0.5172 0.4187
31 O 0.7359 0.0156 0.0405
32 O 0.7359 0.9844 0.5405
33 O 0.9523 0.0016 0.2946
34 O 0.9523 0.9984 0.7946



2.
YHo2Tm2Lu2Ni2Te2: theoretical XRD peak list (Cu Kα, 1.54184 Å), based on a cell relaxed with PBE.

Top 10 peaks for 10° ≤ 2θ ≤ 80°, most intense first:
Position (°2θ)  I/Imax
34.35  100.0
34.86  87.7
33.34  84.6
30.61  43.7
59.29  32.7
47.53  30.4
25.11  27.6
38.81  21.8
36.94  20.0
30.48  19.1

Cell and atoms:
Cell: 9.2467 9.2467 9.2467 Å, 156.12 66.97 118.48°
Fractional coordinates of all 11 atoms:
1 Y 0.0000 0.0000 0.0000
2 Ho 0.6207 0.2687 0.3520
3 Ho 0.9166 0.2687 0.6480
4 Tm 0.2840 0.4172 0.8668
5 Tm 0.5505 0.4172 0.1332
6 Lu 0.3056 0.6204 0.6853
7 Lu 0.9351 0.6204 0.3147
8 Ni 0.1673 0.9288 0.2385
9 Ni 0.6904 0.9288 0.7615
10 Te 0.2653 0.7653 0.5000
11 Te 0.6626 0.6626 0.0000



3.
Lu2Zr4Ga3C3: theoretical XRD peak list (Cu Kα, 1.54184 Å), based on a cell relaxed with PBE.

Top 10 peaks for 10° ≤ 2θ ≤ 80°, most intense first:
Position (°2θ)  I/Imax
36.01  100.0
36.10  48.7
37.38  29.4
30.69  28.9
54.55  26.9
31.32  23.5
64.27  11.6
49.16  10.8
39.80  8.9
35.64  8.8

Cell and atoms:
Cell: 5.8269 5.8269 14.8364 Å, 101.55 101.55 60.00°
Fractional coordinates of all 24 atoms:
1 Lu 0.0352 0.8712 0.6033
2 Lu 0.1288 0.9648 0.8967
3 Lu 0.8712 0.0352 0.1033
4 Lu 0.9648 0.1288 0.3967
5 Zr 0.1945 0.3582 0.0845
6 Zr 0.3005 0.4763 0.4155
7 Zr 0.3582 0.1945 0.5845
8 Zr 0.4763 0.3005 0.9155
9 Zr 0.5237 0.6995 0.0845
10 Zr 0.6418 0.8055 0.4155
11 Zr 0.6995 0.5237 0.5845
12 Zr 0.8055 0.6418 0.9155
13 Ga 0.0849 0.3678 0.7506
14 Ga 0.3678 0.0849 0.2506
15 Ga 0.4591 0.5409 0.2500
16 Ga 0.5409 0.4591 0.7500
17 Ga 0.6322 0.9151 0.7494
18 Ga 0.9151 0.6322 0.2494
19 C 0.0000 0.5000 0.5000
20 C 0.1684 0.6630 0.9998
21 C 0.3370 0.8316 0.5002
22 C 0.5000 0.0000 0.0000
23 C 0.6630 0.1684 0.4998
24 C 0.8316 0.3370 0.0002



4.
Y2Ga3Pd: theoretical XRD peak list (Cu Kα, 1.54184 Å), based on a cell relaxed with PBE.

Top 10 peaks for 10° ≤ 2θ ≤ 80°, most intense first:
Position (°2θ)  I/Imax
34.07  100.0
40.76  65.9
66.78  29.1
54.14  25.8
69.92  23.2
50.44  11.6
74.23  7.1
24.60  7.0
48.19  6.9
74.13  3.6

Cell and atoms:
Cell: 8.8585 8.4848 5.7153 Å, 74.34 67.26 38.41°
Fractional coordinates of all 12 atoms:
1 Y 0.2425 0.7575 0.7575
2 Y 0.2500 0.2500 0.2500
3 Y 0.7500 0.7500 0.7500
4 Y 0.7575 0.2425 0.2425
5 Ga 0.1658 0.6674 0.3326
6 Ga 0.3326 0.8342 0.1658
7 Ga 0.3343 0.3343 0.6657
8 Ga 0.6657 0.6657 0.3343
9 Ga 0.6674 0.1658 0.8342
10 Ga 0.8342 0.3326 0.6674
11 Pd 0.1682 0.1682 0.8318
12 Pd 0.8318 0.8318 0.1682



5.
TaAl5: theoretical XRD peak list (Cu Kα, 1.54184 Å), based on a cell relaxed with PBE.

Top 10 peaks for 10° ≤ 2θ ≤ 80°, most intense first:
Position (°2θ)  I/Imax
22.01  100.0
40.13  46.6
37.26  46.4
40.69  35.9
20.88  32.5
19.34  29.2
40.83  21.9
28.61  14.4
33.76  14.2
68.67  14.2

Cell and atoms:
Cell: 5.2917 5.2917 8.5096 Å, 90.00 90.00 119.77°
Fractional coordinates of all 12 atoms:
1 Ta 0.1706 0.8294 0.7500
2 Ta 0.8294 0.1706 0.2500
3 Al 0.0000 0.0000 0.0000
4 Al 0.0000 0.0000 0.5000
5 Al 0.1804 0.3397 0.7500
6 Al 0.3117 0.6883 0.0710
7 Al 0.3117 0.6883 0.4290
8 Al 0.3397 0.1804 0.2500
9 Al 0.6603 0.8196 0.7500
10 Al 0.6883 0.3117 0.5710
11 Al 0.6883 0.3117 0.9290
12 Al 0.8196 0.6603 0.2500



6.
Tm4InCo2Si4: theoretical XRD peak list (Cu Kα, 1.54184 Å), based on a cell relaxed with PBE.

Top 10 peaks for 10° ≤ 2θ ≤ 80°, most intense first:
Position (°2θ)  I/Imax
35.67  100.0
37.26  100.0
34.33  86.1
44.00  54.3
28.66  48.7
35.93  41.5
22.48  40.9
38.34  38.4
34.16  34.3
58.03  32.1

Cell and atoms:
Cell: 7.7885 7.7885 6.8410 Å, 107.27 107.27 30.64°
Fractional coordinates of all 11 atoms:
1 Tm 0.0882 0.0882 0.3855
2 Tm 0.1552 0.1552 0.9396
3 Tm 0.8448 0.8448 0.0604
4 Tm 0.9118 0.9118 0.6145
5 In 0.5000 0.5000 0.0000
6 Co 0.2801 0.2801 0.3738
7 Co 0.7199 0.7199 0.6262
8 Si 0.2925 0.2925 0.7257
9 Si 0.4326 0.4326 0.3469
10 Si 0.5674 0.5674 0.6531
11 Si 0.7075 0.7075 0.2743



7.
HfMgNi2Bi2: theoretical XRD peak list (Cu Kα, 1.54184 Å), based on a cell relaxed with PBE.

Top 10 peaks for 10° ≤ 2θ ≤ 80°, most intense first:
Position (°2θ)  I/Imax
40.92  100.0
28.62  54.3
74.52  33.9
24.72  27.3
67.11  21.1
59.25  16.7
50.70  15.8
48.40  13.7
15.89  13.2
25.74  6.5

Cell and atoms:
Cell: 7.6421 7.6421 7.6421 Å, 131.84 131.84 70.48°
Fractional coordinates of all 12 atoms:
1 Hf 0.0000 0.0000 0.0000
2 Hf 0.7500 0.2500 0.5000
3 Mg 0.2500 0.7500 0.5000
4 Mg 0.5000 0.5000 0.0000
5 Ni 0.1099 0.1250 0.4849
6 Ni 0.3750 0.8901 0.0151
7 Ni 0.6401 0.6250 0.5151
8 Ni 0.8750 0.3599 0.9849
9 Bi 0.0049 0.5049 0.5000
10 Bi 0.2549 0.2549 0.0000
11 Bi 0.4951 0.9951 0.5000
12 Bi 0.7451 0.7451 0.0000



8.
Gd2Co7: theoretical XRD peak list (Cu Kα, 1.54184 Å), based on a cell relaxed with PBE.

Top 10 peaks for 10° ≤ 2θ ≤ 80°, most intense first:
Position (°2θ)  I/Imax
42.85  100.0
36.18  49.7
32.39  43.8
42.10  35.1
34.39  32.8
69.67  22.2
76.79  20.2
45.24  14.7
62.70  13.2
67.82  11.6

Cell and atoms:
Cell: 12.3624 12.3624 12.3624 Å, 23.17 23.17 23.17°
Fractional coordinates of all 18 atoms:
1 Gd 0.0514 0.0514 0.0514
2 Gd 0.1480 0.1480 0.1480
3 Gd 0.8520 0.8520 0.8520
4 Gd 0.9486 0.9486 0.9486
5 Co 0.0000 0.5000 0.5000
6 Co 0.1088 0.6087 0.6087
7 Co 0.2787 0.2787 0.2787
8 Co 0.3881 0.3881 0.3881
9 Co 0.3913 0.3913 0.8912
10 Co 0.3913 0.8912 0.3913
11 Co 0.5000 0.0000 0.5000
12 Co 0.5000 0.5000 0.0000
13 Co 0.5000 0.5000 0.5000
14 Co 0.6087 0.1088 0.6087
15 Co 0.6087 0.6087 0.1088
16 Co 0.6119 0.6119 0.6119
17 Co 0.7213 0.7213 0.7213
18 Co 0.8912 0.3913 0.3913



9.
RbPd8: theoretical XRD peak list (Cu Kα, 1.54184 Å), based on a cell relaxed with PBE.

Top 10 peaks for 10° ≤ 2θ ≤ 80°, most intense first:
Position (°2θ)  I/Imax
41.56  100.0
44.06  42.6
30.82  35.7
39.03  21.4
42.09  19.9
62.60  19.0
36.09  18.8
14.38  16.7
17.69  15.9
28.95  13.5

Cell and atoms:
Cell: 13.0491 12.7288 5.3487 Å, 81.40 74.69 23.91°
Fractional coordinates of all 18 atoms:
1 Rb 0.1250 0.1250 0.1250
2 Rb 0.8750 0.8750 0.8750
3 Pd 0.0868 0.5731 0.3884
4 Pd 0.1833 0.3198 0.7714
5 Pd 0.2255 0.7714 0.3198
6 Pd 0.2286 0.7745 0.8167
7 Pd 0.3198 0.1833 0.2255
8 Pd 0.3884 0.4517 0.0868
9 Pd 0.4269 0.9132 0.5483
10 Pd 0.4517 0.3884 0.5731
11 Pd 0.5483 0.6116 0.4269
12 Pd 0.5731 0.0868 0.4517
13 Pd 0.6116 0.5483 0.9132
14 Pd 0.6802 0.8167 0.7745
15 Pd 0.7714 0.2255 0.1833
16 Pd 0.7745 0.2286 0.6802
17 Pd 0.8167 0.6802 0.2286
18 Pd 0.9132 0.4269 0.6116



10.
Cu7Ag3: theoretical XRD peak list (Cu Kα, 1.54184 Å), based on a cell relaxed with PBE.

Top 10 peaks for 10° ≤ 2θ ≤ 80°, most intense first:
Position (°2θ)  I/Imax
40.71  100.0
47.86  50.4
68.85  20.3
42.35  18.5
45.32  10.5
37.94  9.8
67.04  6.3
39.40  6.0
71.15  5.9
50.68  4.0

Cell and atoms:
Cell: 21.4018 21.4018 21.4018 Å, 7.31 7.31 7.31°
Fractional coordinates of all 10 atoms:
1 Cu 0.0000 0.0000 0.0000
2 Cu 0.0928 0.0928 0.0928
3 Cu 0.1932 0.1932 0.1932
4 Cu 0.3026 0.3026 0.3026
5 Cu 0.3951 0.3951 0.3951
6 Cu 0.6976 0.6976 0.6976
7 Cu 0.7901 0.7901 0.7901
8 Ag 0.4917 0.4917 0.4917
9 Ag 0.6010 0.6010 0.6010
10 Ag 0.8948 0.8948 0.8948



11.
GeOs2Au: theoretical XRD peak list (Cu Kα, 1.54184 Å), based on a cell relaxed with PBE.

Top 10 peaks for 10° ≤ 2θ ≤ 80°, most intense first:
Position (°2θ)  I/Imax
40.32  100.0
73.31  35.1
58.34  17.1
24.37  7.2
28.21  4.6
47.68  3.8
66.04  1.8
64.17  1.6
49.94  1.3
78.57  1.2

Cell and atoms:
Cell: 4.4734 4.4734 4.4734 Å, 60.00 60.00 60.00°
Fractional coordinates of all 4 atoms:
1 Ge 0.0000 0.0000 0.0000
2 Os 0.5000 0.5000 0.5000
3 Os 0.7500 0.7500 0.7500
4 Au 0.2500 0.2500 0.2500